Entry 1:
Starting from a crystal structure in the Materials Project, relaxed with PBE, the X-ray diffraction stick pattern of Li3AlB2O6 was computed for Cu Kα (weighted mean of Kα1 and Kα2).
Peak positions follow from Bragg's law for the DFT cell and can differ from measured ones.

```
24
Lattice="4.927 0.000 0.000 0.068 6.627 0.000 0.016 2.814 7.751" Properties=species:S:1:pos:R:3 pbc="T T T"
Li 0.625 2.132 1.093
Li 0.780 4.964 5.598
Li 1.701 3.875 3.280
Li 3.311 5.567 4.471
Li 4.231 4.477 2.153
Li 4.386 7.309 6.657
Al 1.886 2.475 5.992
Al 3.126 6.966 1.759
B 0.794 6.588 3.140
B 1.718 4.774 0.578
B 3.293 4.667 7.173
B 4.217 2.853 4.610
O 0.692 2.903 4.749
O 1.015 3.986 1.428
O 1.281 7.838 7.032
O 1.429 5.778 4.013
O 1.505 7.446 2.284
O 2.068 4.069 6.804
O 2.943 5.372 0.947
O 3.507 1.995 5.467
O 3.582 3.663 3.737
O 3.730 1.603 0.719
O 3.996 5.455 6.323
O 4.319 6.538 3.002
```

Peak list (12 most intense, 15° ≤ 2θ ≤ 90°, in order of rising 2θ)
2θ = 21.1°, intensity 18; 2θ = 21.4°, intensity 20; 2θ = 22.5°, intensity 38; 2θ = 23.1°, intensity 20; 2θ = 23.5°, intensity 35; 2θ = 28.9°, intensity 29; 2θ = 29.0°, intensity 43; 2θ = 30.1°, intensity 100; 2θ = 36.0°, intensity 26; 2θ = 36.2°, intensity 30; 2θ = 36.5°, intensity 20; 2θ = 39.0°, intensity 16

Entry 2:
Starting from a crystal structure in the Materials Project, relaxed with PBE, the X-ray diffraction stick pattern of Lu2AlSi2 was computed for Cu Kα (weighted mean of Kα1 and Kα2).
Peak positions follow from Bragg's law for the DFT cell and can differ from measured ones.

```
5
Lattice="-1.996 2.880 4.202 1.996 -2.880 4.202 1.996 2.880 -4.202" Properties=species:S:1:pos:R:3 pbc="T T T"
Lu 0.000 0.000 1.775
Lu 0.000 0.000 6.630
Al 0.000 2.880 0.000
Si 1.996 1.214 0.000
Si 0.000 1.666 4.202
```

Peak list (12 most intense, 15° ≤ 2θ ≤ 90°, in order of rising 2θ)
2θ = 21.1°, intensity 33; 2θ = 27.2°, intensity 72; 2θ = 31.1°, intensity 29; 2θ = 34.7°, intensity 100; 2θ = 35.6°, intensity 23; 2θ = 37.9°, intensity 35; 2θ = 39.3°, intensity 20; 2θ = 45.4°, intensity 18; 2θ = 52.9°, intensity 16; 2θ = 57.6°, intensity 17; 2θ = 60.6°, intensity 18; 2θ = 68.8°, intensity 18

Entry 3:
Starting from a crystal structure in the Materials Project, relaxed with PBE, the X-ray diffraction stick pattern of Mg6AlC was computed for Cu Kα (weighted mean of Kα1 and Kα2).
Peak positions follow from Bragg's law for the DFT cell and can differ from measured ones.

```
8
Lattice="4.980 0.000 0.000 0.000 2.948 5.179 0.000 -2.948 5.179" Properties=species:S:1:pos:R:3 pbc="T T T"
Mg 0.000 0.000 0.000
Mg 0.000 -1.415 2.644
Mg 0.000 1.415 2.644
Mg 2.490 -1.457 6.013
Mg 2.490 1.457 6.013
Mg 2.490 0.000 8.637
Al 0.000 0.000 5.157
C 2.490 0.000 3.441
```

Peak list (12 most intense, 15° ≤ 2θ ≤ 90°, in order of rising 2θ)
2θ = 34.6°, intensity 14; 2θ = 35.0°, intensity 23; 2θ = 36.1°, intensity 43; 2θ = 39.2°, intensity 47; 2θ = 39.6°, intensity 100; 2θ = 50.9°, intensity 9; 2θ = 51.2°, intensity 14; 2θ = 62.3°, intensity 16; 2θ = 67.0°, intensity 9; 2θ = 67.2°, intensity 19; 2θ = 74.2°, intensity 18; 2θ = 76.8°, intensity 11

Entry 4:
Starting from a crystal structure in the Materials Project, relaxed with PBE, the X-ray diffraction stick pattern of SrTiGeO5 was computed for Cu Kα (weighted mean of Kα1 and Kα2).
Peak positions follow from Bragg's law for the DFT cell and can differ from measured ones.

```
32
Lattice="6.896 0.000 0.000 0.000 9.167 0.000 -2.985 0.000 6.715" Properties=species:S:1:pos:R:3 pbc="T T T"
Sr 1.000 0.718 1.629
Sr -0.492 3.865 4.986
Sr 4.403 5.302 1.729
Sr 2.911 8.448 5.087
Ti -1.195 6.837 6.619
Ti 0.297 6.913 3.262
Ti 3.614 2.254 3.454
Ti 5.107 2.330 0.096
Ge -0.521 0.583 5.012
Ge 0.971 4.001 1.655
Ge 2.940 5.166 5.061
Ge 4.433 8.584 1.703
O -1.399 1.686 3.924
O 0.093 2.897 0.566
O -0.117 5.005 2.647
O -1.610 8.746 6.004
O -0.485 6.341 5.050
O 1.007 7.410 1.692
O 2.096 4.971 0.677
O 0.603 8.780 4.034
O 0.317 1.699 6.122
O 1.809 2.885 2.765
O 2.102 6.282 3.951
O 3.594 7.468 0.593
O 3.308 0.387 2.681
O 1.816 4.196 6.039
O 2.904 1.757 5.023
O 4.397 2.826 1.666
O 5.521 0.421 0.711
O 4.029 4.162 4.069
O 3.818 6.270 6.149
O 5.311 7.481 2.791
```

Peak list (12 most intense, 15° ≤ 2θ ≤ 90°, in order of rising 2θ)
2θ = 26.3°, intensity 84; 2θ = 26.5°, intensity 27; 2θ = 28.3°, intensity 94; 2θ = 30.0°, intensity 30; 2θ = 32.6°, intensity 100; 2θ = 33.1°, intensity 51; 2θ = 38.5°, intensity 30; 2θ = 50.1°, intensity 20; 2θ = 51.2°, intensity 19; 2θ = 52.9°, intensity 34; 2θ = 59.2°, intensity 25; 2θ = 62.3°, intensity 28

Entry 5:
Starting from a crystal structure in the Materials Project, relaxed with PBE, the X-ray diffraction stick pattern of NaMg4Ag3As4 was computed for Cu Kα (weighted mean of Kα1 and Kα2).
Peak positions follow from Bragg's law for the DFT cell and can differ from measured ones.

```
12
Lattice="4.938 0.000 0.000 0.000 9.783 0.000 0.000 0.000 5.462" Properties=species:S:1:pos:R:3 pbc="T T T"
Na 0.000 0.000 0.000
Mg 0.000 2.781 1.240
Mg 0.000 7.002 1.240
Mg 2.469 0.000 3.850
Mg 2.469 4.891 3.834
Ag 0.000 4.891 5.020
Ag 2.469 2.402 2.497
Ag 2.469 7.381 2.497
As 0.000 2.457 3.927
As 0.000 7.326 3.927
As 2.469 0.000 1.142
As 2.469 4.891 1.123
```

Peak list (12 most intense, 15° ≤ 2θ ≤ 90°, in order of rising 2θ)
2θ = 24.3°, intensity 72; 2θ = 24.4°, intensity 61; 2θ = 36.4°, intensity 40; 2θ = 36.7°, intensity 37; 2θ = 42.1°, intensity 100; 2θ = 44.3°, intensity 24; 2θ = 44.5°, intensity 29; 2θ = 52.7°, intensity 26; 2θ = 53.7°, intensity 8; 2θ = 66.6°, intensity 8; 2θ = 69.4°, intensity 22; 2θ = 69.8°, intensity 19